Starting from DFT lattice parameters and positions (PBE), the powder XRD pattern of Er2Ni6BPt was simulated for Cu Kα (λ = 1.5418 Å).

Structure:
abc: 5.230 5.234 6.854
angles: 67.78 67.70 60.10
Sites, in units of the cell vectors:
Er 0.219 0.220 0.345
Er 0.781 0.780 0.655
Ni 0.232 0.693 0.840
Ni 0.233 0.231 0.836
Ni 0.304 0.769 0.161
Ni 0.696 0.231 0.839
Ni 0.767 0.769 0.164
Ni 0.768 0.307 0.160
B 0.000 0.000 0.000
Pt 0.500 0.500 0.500

The 8 most intense peaks (2θ from 10° to 90°), in order of rising 2θ:
d 3.240, 2θ = 27.53°, I = 45
d 2.617, 2θ = 34.26°, I = 68
d 2.411, 2θ = 37.30°, I = 82
d 2.406, 2θ = 37.38°, I = 41
d 2.284, 2θ = 39.45°, I = 73
d 2.278, 2θ = 39.56°, I = 36
d 2.203, 2θ = 40.96°, I = 35
d 2.035, 2θ = 44.52°, I = 100

***

Starting from DFT lattice parameters and positions (PBE), the powder XRD pattern of Pu3Pa2O9 was simulated for Cu Kα (λ = 1.5418 Å).

Structure:
abc: 13.904 13.904 13.904
angles: 164.01 164.01 22.69
Sites, in units of the cell vectors:
Pu 0.000 0.000 0.000
Pu 0.405 0.405 0.000
Pu 0.595 0.595 0.000
Pa 0.196 0.196 0.000
Pa 0.804 0.804 0.000
O 0.051 0.551 0.500
O 0.159 0.659 0.500
O 0.341 0.841 0.500
O 0.449 0.949 0.500
O 0.549 0.049 0.500
O 0.652 0.152 0.500
O 0.750 0.250 0.500
O 0.848 0.348 0.500
O 0.951 0.451 0.500

The 8 most intense peaks (2θ from 10° to 90°), in order of rising 2θ:
d 3.155, 2θ = 28.29°, I = 100
d 2.735, 2θ = 32.74°, I = 26
d 2.726, 2θ = 32.85°, I = 12
d 1.932, 2θ = 47.03°, I = 47
d 1.649, 2θ = 55.75°, I = 32
d 1.645, 2θ = 55.89°, I = 14
d 1.253, 2θ = 75.93°, I = 12
d 1.116, 2θ = 87.38°, I = 11

***

Starting from DFT lattice parameters and positions (PBE), the powder XRD pattern of YThB4Ru6 was simulated for Cu Kα (λ = 1.5418 Å).

Structure:
abc: 3.057 5.545 9.581
angles: 90.00 90.00 90.00
Sites, in units of the cell vectors:
Y 0.000 0.000 0.000
Th 0.000 0.500 0.500
B 0.000 0.000 0.332
B 0.000 0.000 0.668
B 0.000 0.500 0.166
B 0.000 0.500 0.834
Ru 0.500 0.000 0.500
Ru 0.500 0.247 0.247
Ru 0.500 0.247 0.753
Ru 0.500 0.500 0.000
Ru 0.500 0.753 0.247
Ru 0.500 0.753 0.753

The 8 most intense peaks (2θ from 10° to 90°), in order of rising 2θ:
d 2.578, 2θ = 34.80°, I = 74
d 2.398, 2θ = 37.50°, I = 100
d 2.052, 2θ = 44.12°, I = 45
d 1.887, 2θ = 48.23°, I = 11
d 1.559, 2θ = 59.26°, I = 32
d 1.384, 2θ = 67.72°, I = 13
d 1.289, 2θ = 73.46°, I = 27
d 1.220, 2θ = 78.36°, I = 10

***

Starting from DFT lattice parameters and positions (PBE), the powder XRD pattern of Y4ErRh5 was simulated for Cu Kα (λ = 1.5418 Å).

Structure:
abc: 3.393 3.393 17.514
angles: 90.00 90.00 90.00
Sites, in units of the cell vectors:
Y 0.000 0.000 0.100
Y 0.000 0.000 0.301
Y 0.000 0.000 0.699
Y 0.000 0.000 0.900
Er 0.000 0.000 0.500
Rh 0.500 0.500 0.000
Rh 0.500 0.500 0.201
Rh 0.500 0.500 0.403
Rh 0.500 0.500 0.597
Rh 0.500 0.500 0.799

The 8 most intense peaks (2θ from 10° to 90°), in order of rising 2θ:
d 2.437, 2θ = 36.88°, I = 100
d 2.399, 2θ = 37.49°, I = 48
d 1.751, 2θ = 52.23°, I = 9
d 1.696, 2θ = 54.06°, I = 16
d 1.415, 2θ = 66.05°, I = 17
d 1.392, 2θ = 67.25°, I = 33
d 1.218, 2θ = 78.50°, I = 11
d 1.104, 2θ = 88.57°, I = 8

***

Starting from DFT lattice parameters and positions (PBE), the powder XRD pattern of CoH2Cl5 was simulated for Cu Kα (λ = 1.5418 Å).

Structure:
abc: 5.866 6.716 7.125
angles: 87.10 69.69 74.72
Sites, in units of the cell vectors:
Co 0.000 0.000 0.000
H 0.272 0.273 0.237
H 0.512 0.514 0.446
Cl 0.044 0.019 0.280
Cl 0.158 0.182 0.771
Cl 0.420 0.396 0.171
Cl 0.607 0.587 0.558
Cl 0.816 0.791 0.949

The 8 most intense peaks (2θ from 10° to 90°), in order of rising 2θ:
d 6.675, 2θ = 13.26°, I = 40
d 6.472, 2θ = 13.68°, I = 23
d 4.758, 2θ = 18.65°, I = 47
d 3.660, 2θ = 24.32°, I = 100
d 3.451, 2θ = 25.82°, I = 28
d 3.407, 2θ = 26.16°, I = 37
d 3.050, 2θ = 29.28°, I = 23
d 2.913, 2θ = 30.69°, I = 22

***

Starting from DFT lattice parameters and positions (PBE), the powder XRD pattern of Tb2Tm3Ru3 was simulated for Cu Kα (λ = 1.5418 Å).

Structure:
abc: 3.436 5.033 20.567
angles: 90.00 90.00 90.00
Sites, in units of the cell vectors:
Tb 0.000 0.000 0.218
Tb 0.000 0.000 0.782
Tb 0.500 0.500 0.282
Tb 0.500 0.500 0.718
Tm 0.000 0.000 0.000
Tm 0.000 0.500 0.109
Tm 0.000 0.500 0.891
Tm 0.500 0.000 0.391
Tm 0.500 0.000 0.609
Tm 0.500 0.500 0.500
Ru 0.000 0.000 0.500
Ru 0.000 0.500 0.387
Ru 0.000 0.500 0.613
Ru 0.500 0.000 0.113
Ru 0.500 0.000 0.887
Ru 0.500 0.500 0.000

The 8 most intense peaks (2θ from 10° to 90°), in order of rising 2θ:
d 3.185, 2θ = 28.02°, I = 21
d 2.571, 2θ = 34.90°, I = 12
d 2.516, 2θ = 35.68°, I = 33
d 2.485, 2θ = 36.15°, I = 100
d 2.186, 2θ = 41.30°, I = 13
d 1.447, 2θ = 64.40°, I = 18
d 1.419, 2θ = 65.82°, I = 11
d 1.305, 2θ = 72.44°, I = 15

***

Starting from DFT lattice parameters and positions (PBE), the powder XRD pattern of Ca8Pt2Rh3 was simulated for Cu Kα (λ = 1.5418 Å).

Structure:
abc: 8.511 8.511 4.912
angles: 90.00 90.00 110.26
Sites, in units of the cell vectors:
Ca 0.121 0.879 0.000
Ca 0.129 0.373 0.500
Ca 0.373 0.129 0.500
Ca 0.377 0.623 0.000
Ca 0.623 0.377 0.000
Ca 0.627 0.871 0.500
Ca 0.871 0.627 0.500
Ca 0.879 0.121 0.000
Pt 0.249 0.751 0.500
Pt 0.751 0.249 0.500
Rh 0.257 0.257 0.000
Rh 0.500 0.500 0.500
Rh 0.743 0.743 0.000

The 8 most intense peaks (2θ from 10° to 90°), in order of rising 2θ:
d 4.017, 2θ = 22.13°, I = 32
d 3.992, 2θ = 22.27°, I = 32
d 3.457, 2θ = 25.77°, I = 12
d 2.456, 2θ = 36.58°, I = 100
d 2.433, 2θ = 36.95°, I = 19
d 1.728, 2θ = 52.98°, I = 13
d 1.418, 2θ = 65.86°, I = 20
d 1.409, 2θ = 66.34°, I = 13

***

Starting from DFT lattice parameters and positions (PBE), the powder XRD pattern of PrIn2Ni9 was simulated for Cu Kα (λ = 1.5418 Å).

Structure:
abc: 8.309 8.309 4.881
angles: 90.00 90.00 90.00
Sites, in units of the cell vectors:
Pr 0.000 0.000 0.000
Pr 0.500 0.500 0.000
In 0.124 0.376 0.000
In 0.376 0.876 0.000
In 0.624 0.124 0.000
In 0.876 0.624 0.000
Ni 0.000 0.500 0.500
Ni 0.066 0.209 0.500
Ni 0.176 0.676 0.250
Ni 0.176 0.676 0.750
Ni 0.209 0.934 0.500
Ni 0.291 0.434 0.500
Ni 0.324 0.176 0.250
Ni 0.324 0.176 0.750
Ni 0.434 0.709 0.500
Ni 0.500 0.000 0.500
Ni 0.566 0.291 0.500
Ni 0.676 0.824 0.250
Ni 0.676 0.824 0.750
Ni 0.709 0.566 0.500
Ni 0.791 0.066 0.500
Ni 0.824 0.324 0.250
Ni 0.824 0.324 0.750
Ni 0.934 0.791 0.500

The 8 most intense peaks (2θ from 10° to 90°), in order of rising 2θ:
d 2.628, 2θ = 34.12°, I = 26
d 2.517, 2θ = 35.67°, I = 22
d 2.314, 2θ = 38.93°, I = 100
d 2.104, 2θ = 42.98°, I = 28
d 2.084, 2θ = 43.42°, I = 41
d 2.040, 2θ = 44.41°, I = 76
d 2.015, 2θ = 44.98°, I = 33
d 1.383, 2θ = 67.73°, I = 22

***

Starting from DFT lattice parameters and positions (PBE), the powder XRD pattern of LiZnHg2F8 was simulated for Cu Kα (λ = 1.5418 Å).

Structure:
abc: 6.159 6.159 6.159
angles: 115.85 115.85 97.36
Sites, in units of the cell vectors:
Li 0.000 0.000 0.000
Zn 0.250 0.750 0.500
Hg 0.500 0.500 0.000
Hg 0.750 0.250 0.500
F 0.286 0.081 0.795
F 0.286 0.492 0.205
F 0.338 0.038 0.300
F 0.508 0.714 0.795
F 0.737 0.038 0.700
F 0.919 0.714 0.205
F 0.962 0.263 0.300
F 0.962 0.662 0.700

The 8 most intense peaks (2θ from 10° to 90°), in order of rising 2θ:
d 5.098, 2θ = 17.40°, I = 78
d 3.271, 2θ = 27.26°, I = 76
d 3.054, 2θ = 29.24°, I = 100
d 2.753, 2θ = 32.52°, I = 67
d 1.989, 2θ = 45.62°, I = 28
d 1.844, 2θ = 49.43°, I = 65
d 1.727, 2θ = 53.03°, I = 24
d 1.442, 2θ = 64.65°, I = 18